Entry 1:
Simulated powder diffractogram
Compound: AcLaNd2Er4
Radiation: Cu Kα X-rays
Structure: a structure optimized by DFT (PBE)

Structure:
```
data_AcLaNd2Er4
_chemical_formula_sum 'Ac2 La2 Nd4 Er8'
_space_group_name_H-M_alt 'P 1 m 1'
_space_group_IT_number 6
_space_group_name_Hall 'P -2y'
_cell_length_a 7.388
_cell_length_b 7.388
_cell_length_c 10.010
_cell_angle_alpha 90.00
_cell_angle_beta 90.01
_cell_angle_gamma 90.00
loop_
_atom_site_label
_atom_site_fract_x
_atom_site_fract_y
_atom_site_fract_z
Ac1 0.000 0.000 0.000
Ac2 0.000 0.500 0.500
La1 0.000 0.000 0.499
La2 0.500 0.000 0.500
Nd1 0.000 0.500 0.000
Nd2 0.500 0.000 0.000
Nd3 0.500 0.500 0.500
Nd4 0.500 0.500 0.999
Er1 0.255 0.251 0.751
Er2 0.255 0.252 0.248
Er3 0.744 0.252 0.248
Er4 0.745 0.251 0.751
```

Principal peaks in the range 10 to 90 degrees two-theta, most intense first:
- 30.1 deg, I = 100, (0 2 2)
- 34.3 deg, I = 35, (2 2 0)
- 58.9 deg, I = 30, (2 4 2)
- 50.5 deg, I = 24, (2 2 4)
- 35.9 deg, I = 16, (0 0 4)
- 60.9 deg, I = 14, (0 2 6)
- 49.3 deg, I = 13, (0 4 0)
- 62.5 deg, I = 13, (0 4 4)
- 82.1 deg, I = 12, (2 4 6)
- 80.3 deg, I = 6, (0 6 2)



Entry 2:
Simulated powder diffractogram
Compound: Ac4Pr3S8
Radiation: Cu Kα X-rays
Structure: a structure optimized by DFT (PBE)

Structure:
```
data_Ac4Pr3S8
_chemical_formula_sum 'Ac8 Pr6 S16'
_space_group_name_H-M_alt 'C 1 2/m 1'
_space_group_IT_number 12
_space_group_name_Hall '-C 2y'
_cell_length_a 11.920
_cell_length_b 11.932
_cell_length_c 8.373
_cell_angle_alpha 90.00
_cell_angle_beta 134.51
_cell_angle_gamma 90.00
loop_
_atom_site_label
_atom_site_fract_x
_atom_site_fract_y
_atom_site_fract_z
Ac1 0.000 0.000 0.000
Ac2 0.000 0.500 0.500
Ac3 0.250 0.250 0.000
Pr1 0.000 0.000 0.500
Pr2 0.250 0.250 0.500
S1 0.000 0.246 0.500
S2 0.000 0.251 0.000
S3 0.247 0.000 0.502
S4 0.247 0.000 0.992
```

Principal peaks in the range 10 to 90 degrees two-theta, most intense first:
- 30.0 deg, I = 100, (0 4 0)
- 42.9 deg, I = 50, (0 4 2)
- 25.7 deg, I = 41, (2 2 0)
- 26.0 deg, I = 40, (2 2 -2)
- 70.6 deg, I = 17, (0 8 2)
- 12.9 deg, I = 16, (1 1 -1)
- 51.0 deg, I = 14, (6 2 -4)
- 52.9 deg, I = 13, (4 4 0)
- 53.5 deg, I = 13, (4 4 -4)
- 42.5 deg, I = 13, (4 0 0)